No. 1
The following is a computed X-ray diffraction stick pattern of Li6B4O9. It was derived from a cell relaxed with PBE, using Cu Kα (λ = 1.5418 Å).
Peak positions follow from Bragg's law for the DFT cell and can differ from measured ones.

Structural model:
```
data_Li6B4O9
_cell_length_a 6.729
_cell_length_b 7.163
_cell_length_c 8.503
_cell_angle_alpha 93.47
_cell_angle_beta 100.98
_cell_angle_gamma 98.61
_space_group_name_H-M_alt 'P -1'
_space_group_IT_number 2
_space_group_name_Hall '-P 1'
loop_
_atom_site_label
_atom_site_type_symbol
_atom_site_fract_x
_atom_site_fract_y
_atom_site_fract_z
_atom_site_occupancy
Li1 Li 0.061 0.197 0.021 1
Li2 Li 0.064 0.043 0.373 1
Li3 Li 0.092 0.665 0.711 1
Li4 Li 0.254 0.680 0.448 1
Li5 Li 0.374 0.459 0.857 1
Li6 Li 0.397 0.292 0.269 1
B1 B 0.235 0.583 0.070 1
B2 B 0.264 0.362 0.568 1
B3 B 0.286 0.903 0.205 1
B4 B 0.335 0.039 0.655 1
O1 O 0.125 0.989 0.157 1
O2 O 0.149 0.650 0.932 1
O3 O 0.192 0.309 0.409 1
O4 O 0.193 0.911 0.555 1
O5 O 0.268 0.705 0.220 1
O6 O 0.305 0.227 0.685 1
O7 O 0.307 0.546 0.635 1
O8 O 0.317 0.418 0.076 1
O9 O 0.482 0.015 0.264 1
```

Principal peaks in the range 10° ≤ 2θ ≤ 90°, by angle:
hkl 0 1 -1, 2θ = 15.71°, rel. 26; hkl 1 1 -1, 2θ = 20.77°, rel. 32; hkl 1 0 -2, 2θ = 22.94°, rel. 100; hkl 0 1 -2, 2θ = 23.83°, rel. 17; hkl 2 0 0, 2θ = 27.37°, rel. 64; hkl 2 1 -1, 2θ = 31.65°, rel. 18; hkl 2 1 0, 2θ = 32.11°, rel. 21; hkl 1 1 -3, 2θ = 34.63°, rel. 16; hkl 1 -2 2, 2θ = 34.75°, rel. 17; hkl 0 3 0, 2θ = 38.29°, rel. 15

No. 2
The following is a computed X-ray diffraction stick pattern of Li3BO3. It was derived from a cell relaxed with PBE, using Cu Kα (λ = 1.5418 Å).
Peak positions follow from Bragg's law for the DFT cell and can differ from measured ones.

Structural model:
```
data_Li3BO3
_cell_length_a 3.315
_cell_length_b 9.265
_cell_length_c 8.396
_cell_angle_alpha 90.00
_cell_angle_beta 101.30
_cell_angle_gamma 90.00
_space_group_name_H-M_alt 'P 1 21/c 1'
_space_group_IT_number 14
_space_group_name_Hall '-P 2ybc'
loop_
_atom_site_label
_atom_site_type_symbol
_atom_site_fract_x
_atom_site_fract_y
_atom_site_fract_z
_atom_site_occupancy
Li1 Li 0.008 0.232 0.481 1
Li2 Li 0.225 0.023 0.887 1
Li3 Li 0.406 0.574 0.867 1
B1 B 0.302 0.186 0.246 1
O1 O 0.140 0.174 0.721 1
O2 O 0.271 0.093 0.113 1
O3 O 0.472 0.138 0.401 1
```

Principal peaks in the range 10° ≤ 2θ ≤ 90°, by angle:
hkl 0 2 1, 2θ = 22.02°, rel. 18; hkl 1 1 0, 2θ = 29.10°, rel. 100; hkl 1 1 -1, 2θ = 29.13°, rel. 22; hkl 0 3 1, 2θ = 30.93°, rel. 22; hkl 1 1 -2, 2θ = 33.04°, rel. 46; hkl 1 2 -1, 2θ = 33.69°, rel. 57; hkl 0 2 3, 2θ = 38.11°, rel. 41; hkl 0 2 4, 2θ = 48.40°, rel. 21; hkl 1 4 1, 2θ = 50.87°, rel. 16; hkl 2 1 -1, 2θ = 56.39°, rel. 19

No. 3
The following is a computed X-ray diffraction stick pattern of Li3BP2O8. It was derived from a cell relaxed with PBE, using Cu Kα (λ = 1.5418 Å).
Peak positions follow from Bragg's law for the DFT cell and can differ from measured ones.

Structural model:
```
data_Li3BP2O8
_cell_length_a 5.250
_cell_length_b 7.500
_cell_length_c 7.832
_cell_angle_alpha 101.16
_cell_angle_beta 105.73
_cell_angle_gamma 90.07
_space_group_name_H-M_alt 'P -1'
_space_group_IT_number 2
_space_group_name_Hall '-P 1'
loop_
_atom_site_label
_atom_site_type_symbol
_atom_site_fract_x
_atom_site_fract_y
_atom_site_fract_z
_atom_site_occupancy
Li1 Li 0.141 0.026 0.389 1
Li2 Li 0.221 0.369 0.691 1
Li3 Li 0.328 0.016 0.854 1
B1 B 0.258 0.462 0.232 1
P1 P 0.118 0.751 0.056 1
P2 P 0.373 0.715 0.548 1
O1 O 0.055 0.315 0.146 1
O2 O 0.057 0.193 0.816 1
O3 O 0.181 0.564 0.393 1
O4 O 0.204 0.869 0.601 1
O5 O 0.284 0.583 0.109 1
O6 O 0.307 0.903 0.057 1
O7 O 0.399 0.225 0.516 1
O8 O 0.473 0.612 0.712 1
```

Principal peaks in the range 10° ≤ 2θ ≤ 90°, by angle:
hkl 0 1 0, 2θ = 12.05°, rel. 36; hkl 1 0 -1, 2θ = 18.35°, rel. 100; hkl 1 -1 0, 2θ = 20.78°, rel. 26; hkl 1 1 -1, 2θ = 21.20°, rel. 44; hkl 1 1 0, 2θ = 21.93°, rel. 51; hkl 0 2 0, 2θ = 24.23°, rel. 30; hkl 0 1 2, 2θ = 29.19°, rel. 40; hkl 0 2 -2, 2θ = 30.68°, rel. 39; hkl 1 -2 1, 2θ = 31.71°, rel. 70; hkl 1 0 2, 2θ = 33.85°, rel. 29

No. 4
The following is a computed X-ray diffraction stick pattern of Li2SnBPO7. It was derived from a cell relaxed with PBE, using Cu Kα (λ = 1.5418 Å).
Peak positions follow from Bragg's law for the DFT cell and can differ from measured ones.

Structural model:
```
data_Li2SnBPO7
_cell_length_a 5.178
_cell_length_b 6.507
_cell_length_c 9.117
_cell_angle_alpha 90.00
_cell_angle_beta 92.63
_cell_angle_gamma 90.00
_space_group_name_H-M_alt 'P 1 21/m 1'
_space_group_IT_number 11
_space_group_name_Hall '-P 2yb'
loop_
_atom_site_label
_atom_site_type_symbol
_atom_site_fract_x
_atom_site_fract_y
_atom_site_fract_z
_atom_site_occupancy
Li1 Li 0.242 0.028 0.341 1
Sn1 Sn 0.223 0.750 0.837 1
B1 B 0.266 0.750 0.558 1
P1 P 0.275 0.250 0.930 1
O1 O 0.028 0.750 0.631 1
O2 O 0.149 0.250 0.081 1
O3 O 0.193 0.064 0.834 1
O4 O 0.291 0.750 0.414 1
O5 O 0.426 0.750 0.037 1
O6 O 0.478 0.750 0.667 1
```

Principal peaks in the range 10° ≤ 2θ ≤ 90°, by angle:
hkl 0 1 1, 2θ = 16.74°, rel. 100; hkl 1 0 -1, 2θ = 19.34°, rel. 45; hkl 1 0 1, 2θ = 20.13°, rel. 52; hkl 1 1 0, 2θ = 21.95°, rel. 45; hkl 1 0 -2, 2θ = 25.46°, rel. 54; hkl 1 0 2, 2θ = 26.67°, rel. 27; hkl 0 2 0, 2θ = 27.41°, rel. 64; hkl 2 0 0, 2θ = 34.68°, rel. 20; hkl 1 1 3, 2θ = 37.70°, rel. 39; hkl 2 1 -2, 2θ = 41.74°, rel. 19